Record 1
Li2VGa3O8: calculated powder diffractogram (Cu Ka), based on a structure optimized by DFT (PBE+U).
Neutral-atom scattering factors, no anomalous dispersion.

Cell lengths 5.226, 5.508, 6.641 Å; angles 89.77, 89.52, 89.50 degrees
Space group P1 (No. 1)
Inequivalent atoms, fractional coordinates:
Li1 0.000 0.000 0.000 x1
Li2 0.491 0.670 0.502 x1
V1 0.497 0.649 0.998 x1
Ga1 0.011 0.482 0.732 x1
Ga2 0.476 0.139 0.265 x1
Ga3 0.989 0.988 0.500 x1
O1 0.060 0.159 0.738 x1
O2 0.119 0.674 0.528 x1
O3 0.131 0.105 0.261 x1
O4 0.168 0.648 0.957 x1
O5 0.565 0.466 0.211 x1
O6 0.606 0.942 0.043 x1
O7 0.636 0.991 0.473 x1
O8 0.651 0.547 0.780 x1

Principal peaks in the range 2θ from 10° to 90°, sorted by position:
d [Å], 2θ/deg, intensity, hkl
4.240, 21.0, 1000, 0 1 1
4.124, 21.6, 610, 1 0 1
4.090, 21.7, 574, 1 0 -1
3.288, 27.1, 153, 1 -1 1
2.849, 31.4, 240, 0 1 2
2.839, 31.5, 151, 0 1 -2
2.754, 32.5, 228, 0 2 0
2.613, 34.3, 377, 2 0 0
2.494, 36.0, 281, 1 1 -2
1.610, 57.2, 167, 0 3 2



Record 2
Li2VGa3O8: calculated powder diffractogram (Cu Ka), based on a structure optimized by DFT (PBE+U).
Neutral-atom scattering factors, no anomalous dispersion.

Cell lengths 5.229, 5.452, 6.718 Å; angles 90.16, 90.43, 90.22 degrees
Space group P1 (No. 1)
Inequivalent atoms, fractional coordinates:
Li1 0.000 0.000 0.000 x1
Li2 0.489 0.662 0.489 x1
V1 0.497 0.158 0.743 x1
Ga1 0.008 0.999 0.471 x1
Ga2 0.478 0.660 0.011 x1
Ga3 0.991 0.513 0.243 x1
O1 0.060 0.182 0.250 x1
O2 0.119 0.685 0.464 x1
O3 0.132 0.668 0.022 x1
O4 0.168 0.112 0.717 x1
O5 0.565 0.471 0.776 x1
O6 0.604 0.985 0.945 x1
O7 0.643 0.577 0.238 x1
O8 0.650 0.029 0.539 x1

Principal peaks in the range 2θ from 10° to 90°, sorted by position:
d [Å], 2θ/deg, intensity, hkl
4.234, 21.0, 1000, 0 1 -1
4.141, 21.5, 613, 1 0 -1
4.112, 21.6, 595, 1 0 1
3.295, 27.1, 214, 1 -1 1
2.859, 31.3, 363, 0 1 2
2.726, 32.9, 257, 0 2 0
2.615, 34.3, 384, 2 0 0
2.516, 35.7, 259, 1 1 -2
2.507, 35.8, 137, 1 -1 2
2.498, 36.0, 135, 1 1 2